Diffraction record for NaPmWO5. The powder X-ray diffraction pattern is computed, not measured: it uses a DFT-relaxed cell (PBE+U, Alexandria) and Cu Kα (λ = 1.5418 Å).

Lattice parameters (Å, degrees): 6.4747 6.4747 8.2356 102.70 102.70 112.91
Positions (direct):
Na1 0.2169 0.7831 0.7500
Na2 0.7831 0.2169 0.2500
Pm1 0.5000 0.5000 0.0000
Pm2 0.5000 0.5000 0.5000
W1 0.2023 0.7977 0.2500
W2 0.7977 0.2023 0.7500
O1 0.0698 0.2791 0.9230
O2 0.1658 0.5627 0.3470
O3 0.2791 0.0698 0.4230
O4 0.4206 0.5794 0.7500
O5 0.4373 0.8342 0.1530
O6 0.5627 0.1658 0.8470
O7 0.5794 0.4206 0.2500
O8 0.7209 0.9302 0.5770
O9 0.8342 0.4373 0.6530
O10 0.9302 0.7209 0.0770

Most intense lines, 2θ from 10° to 80°, most intense first:
2θ = 16.17°, d 5.483, intensity 100
2θ = 28.85°, d 3.095, intensity 97
2θ = 28.29°, d 3.155, intensity 82
2θ = 23.50°, d 3.785, intensity 71
2θ = 27.17°, d 3.282, intensity 64
2θ = 32.66°, d 2.741, intensity 50